# 1
The following is a simulated powder XRD pattern of K2LiS2O4F2. It was derived from the GGA-PBE geometry in the Materials Project, using Cu Kα.
Kinematic intensities with the Lorentz-polarization factor, no thermal factor.

Top 10 peaks for 2θ = 10–80°, in order of rising 2θ:
d = 4.128 Å, 21.53°, I = 20
d = 3.739 Å, 23.80°, I = 55
d = 3.659 Å, 24.32°, I = 16
d = 3.555 Å, 25.05°, I = 100
d = 3.281 Å, 27.18°, I = 90
d = 3.143 Å, 28.40°, I = 19
d = 3.131 Å, 28.51°, I = 39
d = 2.740 Å, 32.69°, I = 16
d = 2.432 Å, 36.96°, I = 15
d = 2.375 Å, 37.89°, I = 26

Crystal structure
```
data_K2LiS2O4F2
_chemical_formula_sum 'K2 Li1 S2 O4 F2'
_cell_length_a 4.5294
_cell_length_b 6.2717
_cell_length_c 7.7785
_cell_angle_alpha 89.56
_cell_angle_beta 82.06
_cell_angle_gamma 86.92
_space_group_name_H-M_alt 'P 1'
_space_group_IT_number 1
loop_
_space_group_symop_operation_xyz
'x,y,z'
loop_
_atom_site_label
_atom_site_type_symbol
_atom_site_fract_x
_atom_site_fract_y
_atom_site_fract_z
_atom_site_occupancy
K1 K 0.0000 0.0000 0.0000 1
K2 K 0.4262 0.5155 0.2335 1
Li1 Li 0.4900 0.1974 0.6689 1
S1 S 0.7022 0.5701 0.7453 1
S2 S 0.9863 0.0186 0.4803 1
O1 O 0.1159 0.1384 0.3208 1
O2 O 0.1318 0.0735 0.6401 1
O3 O 0.5461 0.7490 0.8451 1
O4 O 0.5520 0.5047 0.5987 1
F1 F 0.5663 0.3033 0.8888 1
F2 F 0.9311 0.6693 0.1677 1
```


# 2
The following is a simulated powder XRD pattern of IrC3. It was derived from the GGA-PBE geometry in the Materials Project, using Cu Kα.
Kinematic intensities with the Lorentz-polarization factor, no thermal factor.

Top 10 peaks for 2θ = 10–80°, in order of rising 2θ:
d = 6.814 Å, 12.99°, I = 61
d = 4.134 Å, 21.49°, I = 35
d = 3.407 Å, 26.15°, I = 23
d = 3.138 Å, 28.45°, I = 100
d = 2.435 Å, 36.92°, I = 33
d = 2.271 Å, 39.68°, I = 24
d = 2.205 Å, 40.93°, I = 66
d = 2.070 Å, 43.74°, I = 25
d = 1.728 Å, 52.99°, I = 32
d = 1.620 Å, 56.84°, I = 23

Crystal structure
```
data_IrC3
_chemical_formula_sum 'Ir4 C12'
_cell_length_a 13.6288
_cell_length_b 2.6070
_cell_length_c 4.3388
_cell_angle_alpha 90.00
_cell_angle_beta 90.00
_cell_angle_gamma 90.00
_space_group_name_H-M_alt 'P 1'
_space_group_IT_number 1
loop_
_space_group_symop_operation_xyz
'x,y,z'
loop_
_atom_site_label
_atom_site_type_symbol
_atom_site_fract_x
_atom_site_fract_y
_atom_site_fract_z
_atom_site_occupancy
Ir1 Ir 0.1617 0.2500 0.0232 1
Ir2 Ir 0.3383 0.7500 0.5232 1
Ir3 Ir 0.6617 0.2500 0.4768 1
Ir4 Ir 0.8383 0.7500 0.9768 1
C1 C 0.0226 0.7500 0.5335 1
C2 C 0.1261 0.7500 0.6535 1
C3 C 0.1962 0.7500 0.3953 1
C4 C 0.3038 0.2500 0.8953 1
C5 C 0.3739 0.2500 0.1535 1
C6 C 0.4774 0.2500 0.0335 1
C7 C 0.5226 0.7500 0.9665 1
C8 C 0.6261 0.7500 0.8465 1
C9 C 0.6962 0.7500 0.1047 1
C10 C 0.8038 0.2500 0.6047 1
C11 C 0.8739 0.2500 0.3465 1
C12 C 0.9774 0.2500 0.4665 1
```


# 3
The following is a simulated powder XRD pattern of Tm2Mg. It was derived from the GGA-PBE geometry in the Materials Project, using Cu Kα.
Kinematic intensities with the Lorentz-polarization factor, no thermal factor.

Top 10 peaks for 2θ = 10–80°, in order of rising 2θ:
d = 8.589 Å, 10.30°, I = 25
d = 4.573 Å, 19.41°, I = 14
d = 3.508 Å, 25.39°, I = 18
d = 3.362 Å, 26.51°, I = 26
d = 2.863 Å, 31.24°, I = 19
d = 2.701 Å, 33.16°, I = 30
d = 2.648 Å, 33.85°, I = 100
d = 2.530 Å, 35.48°, I = 22
d = 1.965 Å, 46.20°, I = 13
d = 1.549 Å, 59.69°, I = 20

Crystal structure
```
data_Tm2Mg
_chemical_formula_sum 'Tm4 Mg2'
_cell_length_a 8.7744
_cell_length_b 8.7744
_cell_length_c 5.4025
_cell_angle_alpha 90.00
_cell_angle_beta 90.00
_cell_angle_gamma 156.43
_space_group_name_H-M_alt 'P 1'
_space_group_IT_number 1
loop_
_space_group_symop_operation_xyz
'x,y,z'
loop_
_atom_site_label
_atom_site_type_symbol
_atom_site_fract_x
_atom_site_fract_y
_atom_site_fract_z
_atom_site_occupancy
Tm1 Tm 0.0975 0.9025 0.7500 1
Tm2 Tm 0.2259 0.7741 0.2500 1
Tm3 Tm 0.7741 0.2259 0.7500 1
Tm4 Tm 0.9025 0.0975 0.2500 1
Mg1 Mg 0.4373 0.5627 0.7500 1
Mg2 Mg 0.5627 0.4373 0.2500 1
```


# 4
The following is a simulated powder XRD pattern of Pr2Al3Ge4. It was derived from the GGA-PBE geometry in the Materials Project, using Cu Kα.
Kinematic intensities with the Lorentz-polarization factor, no thermal factor.

Top 10 peaks for 2θ = 10–80°, in order of rising 2θ:
d = 4.631 Å, 19.16°, I = 32
d = 2.794 Å, 32.03°, I = 48
d = 2.673 Å, 33.52°, I = 61
d = 2.571 Å, 34.90°, I = 100
d = 2.522 Å, 35.59°, I = 75
d = 2.432 Å, 36.96°, I = 73
d = 2.407 Å, 37.35°, I = 24
d = 2.379 Å, 37.82°, I = 32
d = 1.818 Å, 50.18°, I = 25
d = 1.655 Å, 55.54°, I = 26

Crystal structure
```
data_Pr2Al3Ge4
_chemical_formula_sum 'Pr4 Al6 Ge8'
_cell_length_a 8.1652
_cell_length_b 8.1652
_cell_length_c 8.0259
_cell_angle_alpha 90.00
_cell_angle_beta 90.00
_cell_angle_gamma 136.02
_space_group_name_H-M_alt 'P 1'
_space_group_IT_number 1
loop_
_space_group_symop_operation_xyz
'x,y,z'
loop_
_atom_site_label
_atom_site_type_symbol
_atom_site_fract_x
_atom_site_fract_y
_atom_site_fract_z
_atom_site_occupancy
Pr1 Pr 0.1134 0.8866 0.9177 1
Pr2 Pr 0.3866 0.6134 0.4177 1
Pr3 Pr 0.6134 0.3866 0.5823 1
Pr4 Pr 0.8866 0.1134 0.0823 1
Al1 Al 0.0000 0.0000 0.5000 1
Al2 Al 0.0323 0.4677 0.7500 1
Al3 Al 0.4677 0.0323 0.2500 1
Al4 Al 0.5000 0.5000 0.0000 1
Al5 Al 0.5323 0.9677 0.7500 1
Al6 Al 0.9677 0.5323 0.2500 1
Ge1 Ge 0.1853 0.8147 0.5502 1
Ge2 Ge 0.2007 0.2993 0.7500 1
Ge3 Ge 0.2993 0.2007 0.2500 1
Ge4 Ge 0.3147 0.6853 0.0502 1
Ge5 Ge 0.6853 0.3147 0.9498 1
Ge6 Ge 0.7007 0.7993 0.7500 1
Ge7 Ge 0.7993 0.7007 0.2500 1
Ge8 Ge 0.8147 0.1853 0.4498 1
```


# 5
The following is a simulated powder XRD pattern of LiNi6Ge6. It was derived from the GGA-PBE geometry in the Materials Project, using Cu Kα.
Kinematic intensities with the Lorentz-polarization factor, no thermal factor.

Top 10 peaks for 2θ = 10–80°, in order of rising 2θ:
d = 4.377 Å, 20.29°, I = 22
d = 2.527 Å, 35.52°, I = 34
d = 2.471 Å, 36.37°, I = 10
d = 2.189 Å, 41.25°, I = 34
d = 2.124 Å, 42.56°, I = 53
d = 1.960 Å, 46.33°, I = 18
d = 1.911 Å, 47.59°, I = 100
d = 1.789 Å, 51.06°, I = 30
d = 1.367 Å, 68.64°, I = 12
d = 1.264 Å, 75.18°, I = 41

Crystal structure
```
data_LiNi6Ge6
_chemical_formula_sum 'Li3 Ni18 Ge18'
_cell_length_a 8.7541
_cell_length_b 8.7541
_cell_length_c 7.8396
_cell_angle_alpha 90.00
_cell_angle_beta 90.00
_cell_angle_gamma 120.00
_space_group_name_H-M_alt 'P 1'
_space_group_IT_number 1
loop_
_space_group_symop_operation_xyz
'x,y,z'
loop_
_atom_site_label
_atom_site_type_symbol
_atom_site_fract_x
_atom_site_fract_y
_atom_site_fract_z
_atom_site_occupancy
Li1 Li 0.0000 0.0000 0.0000 1
Li2 Li 0.3333 0.6667 0.5000 1
Li3 Li 0.6667 0.3333 0.5000 1
Ni1 Ni 0.0000 0.5000 0.2397 1
Ni2 Ni 0.0000 0.5000 0.7603 1
Ni3 Ni 0.1669 0.3338 0.2552 1
Ni4 Ni 0.1669 0.3338 0.7448 1
Ni5 Ni 0.1669 0.8331 0.2552 1
Ni6 Ni 0.1669 0.8331 0.7448 1
Ni7 Ni 0.3338 0.1669 0.2552 1
Ni8 Ni 0.3338 0.1669 0.7448 1
Ni9 Ni 0.5000 0.0000 0.2397 1
Ni10 Ni 0.5000 0.0000 0.7603 1
Ni11 Ni 0.5000 0.5000 0.2397 1
Ni12 Ni 0.5000 0.5000 0.7603 1
Ni13 Ni 0.6662 0.8331 0.2552 1
Ni14 Ni 0.6662 0.8331 0.7448 1
Ni15 Ni 0.8331 0.1669 0.2552 1
Ni16 Ni 0.8331 0.1669 0.7448 1
Ni17 Ni 0.8331 0.6662 0.2552 1
Ni18 Ni 0.8331 0.6662 0.7448 1
Ge1 Ge 0.0000 0.0000 0.3393 1
Ge2 Ge 0.0000 0.0000 0.6607 1
Ge3 Ge 0.0000 0.3251 0.0000 1
Ge4 Ge 0.0000 0.3412 0.5000 1
Ge5 Ge 0.0000 0.6588 0.5000 1
Ge6 Ge 0.0000 0.6749 0.0000 1
Ge7 Ge 0.3251 0.0000 0.0000 1
Ge8 Ge 0.3251 0.3251 0.0000 1
Ge9 Ge 0.3333 0.6667 0.1618 1
Ge10 Ge 0.3333 0.6667 0.8382 1
Ge11 Ge 0.3412 0.0000 0.5000 1
Ge12 Ge 0.3412 0.3412 0.5000 1
Ge13 Ge 0.6588 0.0000 0.5000 1
Ge14 Ge 0.6588 0.6588 0.5000 1
Ge15 Ge 0.6667 0.3333 0.1618 1
Ge16 Ge 0.6667 0.3333 0.8382 1
Ge17 Ge 0.6749 0.0000 0.0000 1
Ge18 Ge 0.6749 0.6749 0.0000 1
```